The following is a simulated powder diffractogram of FeH12C8S2N2O2. It was derived from a structure optimized by DFT (PBE+U), using Cu Kα.

Cell and atoms:
```
FeH12C8S2N2O2
1.0
5.832 0.000 0.000
-0.859 8.099 0.000
-1.317 -2.700 7.674
Fe H C S N O
1 12 8 2 2 2
direct
0.000 0.000 0.000
0.010 0.486 0.269
0.093 0.679 0.451
0.194 0.364 0.684
0.373 0.572 0.150
0.409 0.778 0.114
0.454 0.766 0.330
0.546 0.234 0.670
0.591 0.222 0.886
0.627 0.428 0.850
0.806 0.636 0.316
0.907 0.321 0.549
0.990 0.514 0.731
0.009 0.376 0.684
0.093 0.717 0.207
0.346 0.709 0.197
0.417 0.852 0.809
0.583 0.148 0.191
0.654 0.291 0.803
0.907 0.283 0.793
0.991 0.624 0.316
0.342 0.198 0.258
0.658 0.802 0.742
0.240 0.885 0.854
0.760 0.115 0.146
0.030 0.203 0.870
0.970 0.797 0.130
```

Largest 10 diffraction maxima, in order of rising 2θ, 2θ from 10° to 90°:
2theta  intensity
11.6  100
13.4  30
15.6  11
17.4  25
18.9  12
21.7  18
22.3  25
26.9  17
27.3  25
35.3  13



The following is a simulated powder diffractogram of Li2Fe3WO8. It was derived from a structure optimized by DFT (PBE+U), using Cu Kα.

Cell and atoms:
```
Li2Fe3WO8
1.0
3.031 1.750 5.032
-3.031 1.750 5.032
0.000 -3.500 5.032
Li Fe W O
2 3 1 8
direct
0.133 0.133 0.133
0.867 0.867 0.867
0.000 0.500 0.500
0.500 0.000 0.500
0.500 0.500 0.000
0.500 0.500 0.500
0.268 0.268 0.268
0.270 0.270 0.721
0.270 0.721 0.270
0.279 0.730 0.730
0.721 0.270 0.270
0.730 0.279 0.730
0.730 0.730 0.279
0.732 0.732 0.732
```

Largest 10 diffraction maxima, in order of rising 2θ, 2θ from 10° to 90°:
2theta  intensity
17.9  100
20.6  16
34.3  20
34.5  34
36.2  14
41.9  38
46.1  12
55.4  13
60.4  12
61.2  12



The following is a simulated powder diffractogram of Li5V2Ni5O12. It was derived from a structure optimized by DFT (PBE+U), using Cu Kα.

Cell and atoms:
```
Li5V2Ni5O12
1.0
2.517 -4.472 0.000
2.517 4.472 0.000
-1.874 0.000 9.601
Li V Ni O
5 2 5 12
direct
0.000 0.000 0.000
0.090 0.405 0.245
0.246 0.246 0.753
0.595 0.910 0.755
0.754 0.754 0.247
0.173 0.827 0.500
0.668 0.332 0.000
0.339 0.661 0.000
0.414 0.075 0.247
0.502 0.498 0.500
0.842 0.158 0.500
0.925 0.586 0.753
0.024 0.678 0.115
0.134 0.104 0.378
0.210 0.552 0.622
0.322 0.976 0.885
0.406 0.371 0.116
0.448 0.790 0.378
0.528 0.184 0.615
0.629 0.594 0.884
0.702 0.061 0.116
0.816 0.472 0.385
0.896 0.866 0.622
0.939 0.298 0.884
```

Largest 10 diffraction maxima, in order of rising 2θ, 2θ from 10° to 90°:
2theta  intensity
18.5  34
19.9  20
21.1  23
23.9  27
37.3  26
37.6  20
43.1  100
44.3  46
63.4  26
63.7  26



The following is a simulated powder diffractogram of KHoCoSi2O7. It was derived from a structure optimized by DFT (PBE+U), using Cu Kα.

Cell and atoms:
```
KHoCoSi2O7
1.0
4.148 -5.011 0.000
4.148 5.011 0.000
-3.345 0.000 7.721
K Ho Co Si O
2 2 2 4 14
direct
0.214 0.214 0.217
0.786 0.786 0.783
0.152 0.292 0.720
0.708 0.848 0.280
0.225 0.775 0.500
0.703 0.297 0.000
0.124 0.648 0.117
0.352 0.876 0.883
0.553 0.228 0.610
0.772 0.447 0.390
0.006 0.392 0.991
0.210 0.051 0.851
0.268 0.732 0.000
0.287 0.095 0.525
0.312 0.676 0.704
0.324 0.688 0.296
0.547 0.372 0.799
0.597 0.403 0.500
0.608 0.994 0.009
0.628 0.453 0.201
0.731 0.082 0.602
0.905 0.713 0.475
0.918 0.269 0.398
0.949 0.790 0.149
```

Largest 10 diffraction maxima, in order of rising 2θ, 2θ from 10° to 90°:
2theta  intensity
15.5  98
21.3  46
29.2  100
29.5  84
29.6  45
31.2  46
33.2  44
33.7  31
44.5  30
47.6  39



The following is a simulated powder diffractogram of Li3MnNi4O8. It was derived from a structure optimized by DFT (PBE+U), using Cu Kα.

Cell and atoms:
```
Li3MnNi4O8
1.0
5.090 -2.939 0.000
5.090 2.939 0.000
-3.364 0.000 4.807
Li Mn Ni O
3 1 4 8
direct
0.000 0.000 0.000
0.000 0.500 0.000
0.500 0.000 0.000
0.500 0.500 0.500
0.000 0.000 0.500
0.000 0.500 0.500
0.500 0.000 0.500
0.500 0.500 0.000
0.249 0.249 0.731
0.263 0.735 0.263
0.265 0.265 0.274
0.265 0.737 0.737
0.735 0.263 0.263
0.735 0.735 0.726
0.737 0.265 0.737
0.751 0.751 0.269
```

Largest 10 diffraction maxima, in order of rising 2θ, 2θ from 10° to 90°:
2theta  intensity
18.5  100
21.4  18
35.8  38
37.4  43
37.5  14
43.4  47
43.6  92
63.1  26
63.3  39
79.8  18



The following is a simulated powder diffractogram of Li4Ti3Mn2V3O16. It was derived from a structure optimized by DFT (PBE+U), using Cu Kα.

Cell and atoms:
```
Li4Ti3Mn2V3O16
1.0
5.945 0.000 0.000
-2.971 5.159 0.000
-0.026 -0.086 9.934
Li Ti Mn V O
4 3 2 3 16
direct
0.000 0.000 0.000
0.001 0.005 0.501
0.336 0.666 0.105
0.672 0.331 0.606
0.177 0.832 0.780
0.343 0.168 0.280
0.837 0.664 0.282
0.342 0.675 0.502
0.676 0.339 0.002
0.171 0.334 0.787
0.667 0.824 0.784
0.839 0.173 0.287
0.004 0.003 0.184
0.006 0.998 0.684
0.041 0.506 0.675
0.147 0.314 0.390
0.160 0.851 0.391
0.314 0.169 0.890
0.337 0.671 0.894
0.481 0.969 0.672
0.502 0.529 0.674
0.516 0.484 0.174
0.526 0.038 0.176
0.666 0.339 0.393
0.693 0.848 0.391
0.839 0.145 0.888
0.854 0.690 0.891
0.971 0.490 0.172
```

Largest 10 diffraction maxima, in order of rising 2θ, 2θ from 10° to 90°:
2theta  intensity
17.9  100
19.4  58
19.4  67
35.0  27
35.2  28
35.3  28
36.0  38
44.6  25
44.7  25
62.4  38



The following is a simulated powder diffractogram of Li9Co7O16. It was derived from a structure optimized by DFT (PBE+U), using Cu Kα.

Cell and atoms:
```
Li9Co7O16
1.0
5.816 0.000 0.000
-0.087 5.853 0.000
-0.029 -0.097 8.228
Li Co O
9 7 16
direct
0.000 0.000 0.000
0.000 0.000 0.500
0.000 0.500 0.000
0.246 0.247 0.756
0.246 0.753 0.246
0.500 0.000 0.500
0.500 0.500 0.000
0.754 0.247 0.754
0.754 0.753 0.244
0.000 0.500 0.500
0.245 0.242 0.244
0.248 0.756 0.754
0.500 0.000 0.000
0.500 0.500 0.500
0.752 0.244 0.246
0.755 0.758 0.756
0.002 0.980 0.748
0.011 0.518 0.747
0.252 0.744 0.511
0.255 0.273 0.494
0.269 0.765 0.988
0.274 0.228 0.008
0.489 0.987 0.765
0.500 0.480 0.266
0.500 0.520 0.734
0.511 0.013 0.235
0.726 0.772 0.992
0.731 0.235 0.012
0.745 0.727 0.506
0.748 0.256 0.489
0.989 0.482 0.253
0.998 0.020 0.252
```

Largest 10 diffraction maxima, in order of rising 2θ, 2θ from 10° to 90°:
2theta  intensity
18.5  100
36.0  15
36.3  14
36.5  13
38.0  8
43.6  27
44.0  26
44.2  26
48.1  9
63.8  14



The following is a simulated powder diffractogram of LiV3OF11. It was derived from a structure optimized by DFT (PBE+U), using Cu Kα.

Cell and atoms:
```
LiV3OF11
1.0
5.249 0.000 0.000
0.123 5.390 0.000
0.114 2.652 15.449
Li V O F
2 6 2 22
direct
0.240 0.159 0.153
0.760 0.841 0.847
0.000 0.500 0.000
0.002 0.169 0.663
0.498 0.667 0.663
0.500 0.000 0.000
0.502 0.333 0.337
0.998 0.831 0.337
0.242 0.217 0.012
0.758 0.783 0.988
0.061 0.584 0.885
0.090 0.876 0.221
0.094 0.195 0.552
0.193 0.511 0.360
0.194 0.845 0.693
0.274 0.714 0.027
0.311 0.356 0.689
0.313 0.022 0.356
0.408 0.368 0.223
0.409 0.710 0.554
0.439 0.025 0.884
0.561 0.975 0.116
0.591 0.290 0.446
0.592 0.632 0.777
0.687 0.978 0.644
0.689 0.644 0.311
0.726 0.286 0.973
0.806 0.155 0.307
0.807 0.489 0.640
0.906 0.805 0.448
0.910 0.124 0.779
0.939 0.416 0.115
```

Largest 10 diffraction maxima, in order of rising 2θ, 2θ from 10° to 90°:
2theta  intensity
17.2  100
25.0  79
25.5  80
33.2  14
34.8  14
38.9  14
47.8  13
49.0  13
51.2  10
55.1  10